Diffraction record for BiSeCl. The powder diffraction line list is theoretical, not measured: it uses a DFT-relaxed cell (GGA-PBE, the Materials Project) and Cu Kα, 1.54184 Å.
Peak positions follow from Bragg's law for the DFT cell and can differ from measured ones.

Crystal structure
Cell: 9.3355 4.1916 9.3617 Å, 90.00 90.00 90.00°
Space group Pnma (No. 62)
Unique sites:
1 Bi 0.1709 0.2500 0.0791 x4
2 Se 0.0192 0.2500 0.8270 x4
3 Cl 0.1704 0.2500 0.4315 x4

Largest 10 diffraction maxima, sorted by position, 10 to 80 degrees two-theta:
d [Å], Position (°2θ), Rel. int.
6.610, 13.39, 100
4.182, 21.24, 62
3.540, 25.16, 74
3.119, 28.62, 76
2.958, 30.22, 70
2.595, 34.57, 60
2.503, 35.88, 53
2.205, 40.94, 72
1.997, 45.42, 30
1.869, 48.72, 31